# 1
Calculated powder diffraction line list
Compound: Na2MnBr2Cl2
Radiation: Cu Kα (λ = 1.5418 Å)
Structure: the PBE geometry in Alexandria
No peak broadening, texture or thermal motion is included.

Crystal structure
```
Na2MnBr2Cl2
1.0
6.741 -2.042 0.000
6.741 2.042 0.000
-2.530 0.000 6.844
Na Mn Br Cl
2 1 2 2
direct
0.226 0.226 0.224
0.774 0.774 0.776
0.000 0.000 0.500
0.398 0.398 0.629
0.602 0.602 0.371
0.143 0.143 0.815
0.857 0.857 0.185
```

Main lines, in order of rising 2θ (15 to 90 degrees two-theta):
| 2θ (°) | I_rel |
| --- | --- |
| 22.20 | 30 |
| 27.57 | 22 |
| 30.11 | 100 |
| 33.83 | 37 |
| 35.16 | 38 |
| 42.02 | 23 |
| 43.82 | 30 |
| 44.35 | 20 |
| 47.94 | 21 |
| 56.93 | 15 |

# 2
Calculated powder diffraction line list
Compound: K2Pb12Au7
Radiation: Cu Kα (λ = 1.5418 Å)
Structure: the PBE geometry in Alexandria
No peak broadening, texture or thermal motion is included.

Crystal structure
```
K2Pb12Au7
1.0
12.111 0.000 0.000
-6.056 10.489 0.000
0.000 0.000 4.726
K Pb Au
2 12 7
direct
0.000 0.000 0.000
0.333 0.667 0.500
0.044 0.273 0.500
0.107 0.696 0.000
0.228 0.956 0.500
0.304 0.411 0.000
0.386 0.183 0.000
0.552 0.438 0.500
0.562 0.114 0.500
0.589 0.893 0.000
0.727 0.772 0.500
0.797 0.614 0.000
0.817 0.203 0.000
0.886 0.448 0.500
0.081 0.445 0.000
0.267 0.239 0.500
0.364 0.919 0.000
0.555 0.636 0.000
0.667 0.333 0.000
0.761 0.028 0.500
0.972 0.733 0.500
```

Main lines, in order of rising 2θ (15 to 90 degrees two-theta):
| 2θ (°) | I_rel |
| --- | --- |
| 29.41 | 100 |
| 31.84 | 15 |
| 34.20 | 17 |
| 36.26 | 50 |
| 37.37 | 22 |
| 38.08 | 33 |
| 39.33 | 59 |
| 54.42 | 15 |
| 55.93 | 19 |
| 65.33 | 21 |

# 3
Calculated powder diffraction line list
Compound: Tl2SbCl3O
Radiation: Cu Kα (λ = 1.5418 Å)
Structure: the PBE geometry in Alexandria
No peak broadening, texture or thermal motion is included.

Crystal structure
```
Tl2SbCl3O
1.0
-2.104 2.781 8.525
2.104 -2.781 8.525
2.104 2.781 -8.525
Tl Sb Cl O
2 1 3 1
direct
0.148 0.148 0.000
0.852 0.852 0.000
0.500 0.500 0.000
0.000 0.500 0.500
0.334 0.334 0.000
0.666 0.666 0.000
0.500 0.000 0.500
```

Main lines, in order of rising 2θ (15 to 90 degrees two-theta):
| 2θ (°) | I_rel |
| --- | --- |
| 22.37 | 83 |
| 26.35 | 68 |
| 26.56 | 100 |
| 31.48 | 34 |
| 32.19 | 44 |
| 34.00 | 33 |
| 41.65 | 41 |
| 42.07 | 41 |
| 42.97 | 24 |
| 45.65 | 24 |

# 4
Calculated powder diffraction line list
Compound: CoNi2Pd3
Radiation: Cu Kα (λ = 1.5418 Å)
Structure: the PBE geometry in Alexandria
No peak broadening, texture or thermal motion is included.

Crystal structure
```
CoNi2Pd3
1.0
2.687 0.000 0.000
0.000 13.195 0.000
0.000 0.000 4.552
Co Ni Pd
2 4 6
direct
0.250 0.250 0.236
0.750 0.750 0.764
0.250 0.587 0.596
0.250 0.913 0.596
0.750 0.087 0.404
0.750 0.413 0.404
0.250 0.083 0.906
0.250 0.417 0.906
0.250 0.750 0.277
0.750 0.250 0.723
0.750 0.583 0.094
0.750 0.917 0.094
```

Main lines, in order of rising 2θ (15 to 90 degrees two-theta):
| 2θ (°) | I_rel |
| --- | --- |
| 39.53 | 51 |
| 41.04 | 98 |
| 41.35 | 100 |
| 41.99 | 35 |
| 44.23 | 82 |
| 44.84 | 77 |
| 48.02 | 67 |
| 70.04 | 38 |
| 84.51 | 35 |
| 85.79 | 39 |

# 5
Calculated powder diffraction line list
Compound: K2NaCl3
Radiation: Cu Kα (λ = 1.5418 Å)
Structure: the PBE geometry in Alexandria
No peak broadening, texture or thermal motion is included.

Crystal structure
```
K2NaCl3
1.0
-2.147 3.110 6.558
2.147 -3.110 6.558
2.147 3.110 -6.558
K Na Cl
2 1 3
direct
0.170 0.170 0.000
0.830 0.830 0.000
0.500 0.500 0.000
0.000 0.500 0.500
0.350 0.850 0.500
0.650 0.150 0.500
```

Main lines, in order of rising 2θ (15 to 90 degrees two-theta):
| 2θ (°) | I_rel |
| --- | --- |
| 28.70 | 59 |
| 29.15 | 100 |
| 41.36 | 84 |
| 42.08 | 17 |
| 51.07 | 16 |
| 51.73 | 17 |
| 60.43 | 9 |
| 67.55 | 13 |
| 68.25 | 12 |
| 76.41 | 9 |

# 6
Calculated powder diffraction line list
Compound: Mg5Pd
Radiation: Cu Kα (λ = 1.5418 Å)
Structure: the PBE geometry in Alexandria
No peak broadening, texture or thermal motion is included.

Crystal structure
```
Mg5Pd
1.0
9.106 0.000 0.000
0.000 3.790 0.000
0.000 0.000 7.532
Mg Pd
10 2
direct
0.000 0.000 0.000
0.061 0.500 0.314
0.250 0.000 0.578
0.250 0.500 0.926
0.439 0.500 0.314
0.500 0.000 0.000
0.561 0.500 0.686
0.750 0.000 0.422
0.750 0.500 0.074
0.939 0.500 0.686
0.250 0.000 0.198
0.750 0.000 0.802
```

Main lines, in order of rising 2θ (15 to 90 degrees two-theta):
| 2θ (°) | I_rel |
| --- | --- |
| 15.27 | 100 |
| 19.50 | 29 |
| 28.12 | 35 |
| 30.70 | 28 |
| 35.01 | 41 |
| 37.15 | 16 |
| 39.10 | 38 |
| 39.59 | 17 |
| 39.89 | 40 |
| 41.05 | 19 |

# 7
Calculated powder diffraction line list
Compound: Dy3Zn4Cu2
Radiation: Cu Kα (λ = 1.5418 Å)
Structure: the PBE geometry in Alexandria
No peak broadening, texture or thermal motion is included.

Crystal structure
```
Dy3Zn4Cu2
1.0
4.826 -2.245 0.000
4.826 2.245 0.000
-2.313 0.000 8.173
Dy Zn Cu
3 4 2
direct
0.000 0.000 0.000
0.370 0.370 0.305
0.630 0.630 0.695
0.094 0.094 0.416
0.285 0.285 0.931
0.715 0.715 0.069
0.906 0.906 0.584
0.329 0.329 0.661
0.671 0.671 0.339
```

Main lines, in order of rising 2θ (15 to 90 degrees two-theta):
| 2θ (°) | I_rel |
| --- | --- |
| 23.36 | 23 |
| 32.93 | 100 |
| 33.29 | 14 |
| 34.43 | 29 |
| 35.21 | 53 |
| 40.16 | 42 |
| 42.81 | 43 |
| 43.31 | 12 |
| 52.84 | 18 |
| 79.16 | 15 |

# 8
Calculated powder diffraction line list
Compound: TaTlPd6
Radiation: Cu Kα (λ = 1.5418 Å)
Structure: the PBE geometry in Alexandria
No peak broadening, texture or thermal motion is included.

Crystal structure
```
TaTlPd6
1.0
4.020 0.000 0.000
0.000 4.020 0.000
0.000 0.000 8.077
Ta Tl Pd
1 1 6
direct
0.000 0.000 0.000
0.000 0.000 0.500
0.000 0.500 0.233
0.000 0.500 0.767
0.500 0.000 0.233
0.500 0.000 0.767
0.500 0.500 0.000
0.500 0.500 0.500
```

Main lines, in order of rising 2θ (15 to 90 degrees two-theta):
| 2θ (°) | I_rel |
| --- | --- |
| 22.11 | 5 |
| 31.42 | 6 |
| 38.74 | 100 |
| 44.89 | 16 |
| 45.11 | 33 |
| 65.53 | 20 |
| 65.70 | 11 |
| 78.64 | 11 |
| 78.95 | 25 |
| 83.10 | 10 |

# 9
Calculated powder diffraction line list
Compound: Rb2ErMn2Se4
Radiation: Cu Kα (λ = 1.5418 Å)
Structure: the PBE geometry in Alexandria
No peak broadening, texture or thermal motion is included.

Crystal structure
```
Rb2ErMn2Se4
1.0
7.745 -2.103 0.000
7.745 2.103 0.000
-2.666 0.000 7.734
Rb Er Mn Se
2 1 2 4
direct
0.132 0.132 0.054
0.868 0.868 0.946
0.000 0.000 0.500
0.321 0.321 0.516
0.679 0.679 0.484
0.197 0.197 0.671
0.480 0.480 0.727
0.520 0.520 0.273
0.803 0.803 0.329
```

Main lines, in order of rising 2θ (15 to 90 degrees two-theta):
| 2θ (°) | I_rel |
| --- | --- |
| 27.94 | 35 |
| 30.22 | 45 |
| 30.52 | 100 |
| 32.38 | 40 |
| 32.59 | 37 |
| 36.04 | 23 |
| 40.04 | 23 |
| 43.01 | 36 |
| 47.35 | 27 |
| 50.02 | 37 |

# 10
Calculated powder diffraction line list
Compound: AcPr3Au4
Radiation: Cu Kα (λ = 1.5418 Å)
Structure: the PBE geometry in Alexandria
No peak broadening, texture or thermal motion is included.

Crystal structure
```
AcPr3Au4
1.0
-3.790 3.790 3.790
3.790 -3.790 3.790
3.790 3.790 -3.790
Ac Pr Au
1 3 4
direct
0.000 0.000 0.000
0.000 0.500 0.500
0.500 0.000 0.500
0.500 0.500 0.000
0.000 0.000 0.500
0.000 0.500 0.000
0.500 0.000 0.000
0.500 0.500 0.500
```

Main lines, in order of rising 2θ (15 to 90 degrees two-theta):
| 2θ (°) | I_rel |
| --- | --- |
| 16.54 | 1 |
| 23.47 | 1 |
| 28.85 | 1 |
| 33.43 | 100 |
| 48.00 | 18 |
| 54.10 | 1 |
| 59.76 | 38 |
| 70.24 | 12 |
| 80.06 | 17 |
| 89.59 | 4 |

# 11
Calculated powder diffraction line list
Compound: P2Pd7Pb
Radiation: Cu Kα (λ = 1.5418 Å)
Structure: the PBE geometry in Alexandria
No peak broadening, texture or thermal motion is included.

Crystal structure
```
P2Pd7Pb
1.0
-2.010 2.010 10.088
2.010 -2.010 10.088
2.010 2.010 -10.088
P Pd Pb
2 7 1
direct
0.175 0.175 0.000
0.825 0.825 0.000
0.000 0.000 0.000
0.110 0.610 0.500
0.250 0.750 0.500
0.390 0.890 0.500
0.610 0.110 0.500
0.750 0.250 0.500
0.890 0.390 0.500
0.500 0.500 0.000
```

Main lines, in order of rising 2θ (15 to 90 degrees two-theta):
| 2θ (°) | I_rel |
| --- | --- |
| 32.73 | 49 |
| 35.60 | 36 |
| 36.28 | 50 |
| 41.60 | 100 |
| 45.11 | 62 |
| 58.74 | 34 |
| 65.70 | 20 |
| 73.71 | 22 |
| 77.02 | 15 |
| 80.84 | 29 |

# 12
Calculated powder diffraction line list
Compound: Y4GaSn2
Radiation: Cu Kα (λ = 1.5418 Å)
Structure: the PBE geometry in Alexandria
No peak broadening, texture or thermal motion is included.

Crystal structure
```
Y4GaSn2
1.0
5.724 -2.348 0.000
5.724 2.348 0.000
-5.002 0.000 7.282
Y Ga Sn
4 1 2
direct
0.081 0.081 0.377
0.328 0.328 0.941
0.672 0.672 0.059
0.919 0.919 0.623
0.000 0.000 0.000
0.345 0.345 0.332
0.655 0.655 0.668
```

Main lines, in order of rising 2θ (15 to 90 degrees two-theta):
| 2θ (°) | I_rel |
| --- | --- |
| 27.03 | 40 |
| 28.08 | 55 |
| 30.42 | 68 |
| 31.40 | 32 |
| 34.31 | 100 |
| 36.49 | 70 |
| 36.82 | 99 |
| 37.03 | 44 |
| 38.33 | 68 |
| 54.37 | 40 |